Starting from a GGA-PBE-relaxed structure, the powder XRD pattern of K2CePuO4 was calculated for λ = 1.5418 Å (Cu Kα).
Kinematic intensities with the Lorentz-polarization factor, no thermal factor.

Peak list (10 most intense, 5° ≤ 2θ ≤ 70°, in order of falling intensity)
d 6.282, I = 100, hkl 0 0 1; d 2.603, I = 95, hkl 1 1 1; d 2.964, I = 77, hkl 2 0 0; d 3.080, I = 44, hkl 2 0 -1; d 3.141, I = 33, hkl 0 0 2; d 1.881, I = 32, hkl 1 1 -3; d 1.803, I = 32, hkl 0 2 0; d 1.564, I = 26, hkl 3 1 1; d 1.733, I = 23, hkl 3 1 0; d 2.039, I = 21, hkl 1 1 2

Cell and atoms:
Cell: 6.2444 3.6057 6.6182 Å, 90.00 108.34 90.00°
Space group P2/m (No. 10)
Inequivalent atoms, fractional coordinates:
K (0.0000, 0.0000, 0.0000) [1 per cell]
K (0.5000, 0.5000, 0.0000) [1 per cell]
Ce (0.0000, 0.5000, 0.5000) [1 per cell]
Pu (0.5000, 0.0000, 0.5000) [1 per cell]
O (0.2289, 0.0000, 0.6899) [2 per cell]
O (0.2710, 0.5000, 0.3123) [2 per cell]

---

Starting from a GGA-PBE-relaxed structure, the powder XRD pattern of Ca2Ga2SiH2O8 was calculated for λ = 1.5418 Å (Cu Kα).
Kinematic intensities with the Lorentz-polarization factor, no thermal factor.

Peak list (10 most intense, 5° ≤ 2θ ≤ 70°, in order of falling intensity)
d 3.688, I = 100, hkl 2 1 1; d 2.856, I = 99, hkl 3 0 1; d 1.597, I = 63, hkl 4 0 4; d 2.608, I = 61, hkl 2 2 2; d 2.414, I = 40, hkl 2 1 3; d 2.129, I = 34, hkl 4 1 1; d 1.549, I = 24, hkl 4 3 3; d 3.193, I = 23, hkl 2 2 0; d 1.362, I = 22, hkl 2 2 6; d 6.387, I = 21, hkl 1 0 1

Cell and atoms:
Cell: 9.0320 9.0320 9.0344 Å, 90.00 90.00 90.00°
Space group I-42m (No. 121)
Inequivalent atoms, fractional coordinates:
Ca (0.1390, 0.1390, 0.1423) [8 per cell]
Ga (0.0000, 0.2560, 0.5000) [8 per cell]
Si (0.0000, 0.5000, 0.2500) [4 per cell]
H (0.1840, 0.1840, 0.8420) [8 per cell]
O (0.0865, 0.3760, 0.6470) [16 per cell]
O (0.1141, 0.1141, 0.8844) [8 per cell]
O (0.1500, 0.1500, 0.4102) [8 per cell]

---

Starting from a GGA-PBE-relaxed structure, the powder XRD pattern of Na2AsHPd6 was calculated for λ = 1.5418 Å (Cu Kα).
Kinematic intensities with the Lorentz-polarization factor, no thermal factor.

Peak list (10 most intense, 5° ≤ 2θ ≤ 70°, in order of falling intensity)
d 4.314, I = 100, hkl 2 0 0; d 2.389, I = 84, hkl 2 2 0; d 2.159, I = 83, hkl 2 2 -2; d 1.437, I = 43, hkl 0 4 0; d 2.396, I = 42, hkl 4 0 -2; d 2.152, I = 41, hkl 4 0 0; d 2.883, I = 37, hkl 0 0 2; d 2.017, I = 23, hkl 2 2 1; d 1.922, I = 22, hkl 0 0 3; d 5.766, I = 19, hkl 0 0 1

Cell and atoms:
Cell: 9.9561 5.7454 6.6696 Å, 90.00 120.17 90.00°
Space group C2/m (No. 12)
Inequivalent atoms, fractional coordinates:
Na (0.2209, 0.0000, 0.1656) [4 per cell]
As (0.0000, 0.5000, 0.0000) [2 per cell]
H (0.0000, 0.0000, 0.5000) [2 per cell]
Pd (0.0187, 0.2504, 0.3076) [8 per cell]
Pd (0.2305, 0.0000, 0.6919) [4 per cell]

---

Starting from a GGA-PBE-relaxed structure, the powder XRD pattern of DyAs2Pd5 was calculated for λ = 1.5418 Å (Cu Kα).
Kinematic intensities with the Lorentz-polarization factor, no thermal factor.

Peak list (10 most intense, 5° ≤ 2θ ≤ 70°, in order of falling intensity)
d 2.503, I = 100, hkl 1 0 3; d 2.612, I = 100, hkl 1 2 1; d 1.993, I = 52, hkl 0 2 4; d 2.035, I = 41, hkl 2 0 0; d 1.424, I = 34, hkl 2 2 4; d 2.087, I = 27, hkl 1 3 0; d 1.912, I = 18, hkl 1 3 2; d 2.848, I = 16, hkl 1 1 2; d 2.356, I = 14, hkl 0 3 1; d 2.895, I = 14, hkl 0 2 2

Cell and atoms:
Cell: 4.0707 7.2938 9.5225 Å, 90.00 90.00 90.00°
Space group Immm (No. 71)
Inequivalent atoms, fractional coordinates:
Dy (0.0000, 0.0000, 0.0000) [2 per cell]
As (0.0000, 0.5000, 0.2566) [4 per cell]
Pd (0.0000, 0.1952, 0.3520) [8 per cell]
Pd (0.0000, 0.5000, 0.0000) [2 per cell]

---

Starting from a GGA-PBE-relaxed structure, the powder XRD pattern of CaSeF6 was calculated for λ = 1.5418 Å (Cu Kα).
Kinematic intensities with the Lorentz-polarization factor, no thermal factor.

Peak list (10 most intense, 5° ≤ 2θ ≤ 70°, in order of falling intensity)
d 4.013, I = 100, hkl 0 1 2; d 1.845, I = 31, hkl 2 -1 6; d 2.937, I = 24, hkl 1 0 4; d 2.405, I = 22, hkl 2 -1 3; d 2.006, I = 18, hkl 0 2 4; d 4.533, I = 16, hkl 1 0 1; d 1.748, I = 13, hkl 3 -2 2; d 1.586, I = 12, hkl 3 0 0; d 1.620, I = 11, hkl 3 -1 4; d 2.747, I = 8, hkl 1 1 0

Cell and atoms:
Cell: 5.4938 5.4938 14.9369 Å, 90.00 90.00 120.00°
Space group R-3 (No. 148, hexagonal axes)
Inequivalent atoms, fractional coordinates:
Ca (0.0000, 0.0000, 0.0000) [3 per cell]
Se (0.0000, 0.0000, 0.5000) [3 per cell]
F (0.0292, 0.3946, 0.2433) [18 per cell]

---

Starting from a GGA-PBE-relaxed structure, the powder XRD pattern of Bi4Pb3 was calculated for λ = 1.5418 Å (Cu Kα).
Kinematic intensities with the Lorentz-polarization factor, no thermal factor.

Peak list (10 most intense, 5° ≤ 2θ ≤ 70°, in order of falling intensity)
d 3.088, I = 100, hkl 3 1 0; d 2.610, I = 89, hkl 3 2 1; d 1.584, I = 32, hkl 6 1 1; d 1.993, I = 21, hkl 4 2 2; d 1.507, I = 19, hkl 5 4 1; d 2.184, I = 15, hkl 4 2 0; d 1.915, I = 14, hkl 4 3 1; d 1.544, I = 12, hkl 6 2 0; d 2.082, I = 10, hkl 3 3 2; d 3.987, I = 10, hkl 2 1 1

Cell and atoms:
Cell: 9.7652 9.7652 9.7652 Å, 90.00 90.00 90.00°
Space group I-43d (No. 220)
Inequivalent atoms, fractional coordinates:
Bi (0.0826, 0.4174, 0.5826) [16 per cell]
Pb (0.0000, 0.2500, 0.8750) [12 per cell]

---

Starting from a GGA-PBE-relaxed structure, the powder XRD pattern of Sr2LiCoN2 was calculated for λ = 1.5418 Å (Cu Kα).
Kinematic intensities with the Lorentz-polarization factor, no thermal factor.

Peak list (10 most intense, 5° ≤ 2θ ≤ 70°, in order of falling intensity)
d 2.653, I = 100, hkl 1 1 2; d 2.706, I = 42, hkl 2 0 0; d 1.552, I = 37, hkl 3 1 2; d 3.827, I = 25, hkl 1 1 0; d 1.913, I = 22, hkl 2 2 0; d 4.361, I = 22, hkl 1 0 1; d 2.180, I = 17, hkl 2 0 2; d 1.522, I = 15, hkl 2 0 4; d 1.841, I = 10, hkl 0 0 4; d 1.353, I = 7, hkl 4 0 0

Cell and atoms:
Cell: 5.4117 5.4117 7.3630 Å, 90.00 90.00 90.00°
Space group P4_2/mnm (No. 136)
Inequivalent atoms, fractional coordinates:
Sr (0.0000, 0.5000, 0.2500) [4 per cell]
Li (0.0000, 0.0000, 0.0000) [2 per cell]
Co (0.0000, 0.0000, 0.5000) [2 per cell]
N (0.2352, 0.2352, 0.5000) [4 per cell]

---

Starting from a GGA-PBE-relaxed structure, the powder XRD pattern of TbMn9Fe3 was calculated for λ = 1.5418 Å (Cu Kα).
Kinematic intensities with the Lorentz-polarization factor, no thermal factor.

Peak list (10 most intense, 5° ≤ 2θ ≤ 70°, in order of falling intensity)
d 2.077, I = 100, hkl 0 4 2; d 2.064, I = 86, hkl 1 5 0; d 2.044, I = 44, hkl 2 2 0; d 2.036, I = 43, hkl 2 2 -2; d 2.907, I = 39, hkl 1 1 -2; d 2.379, I = 27, hkl 1 3 -2; d 2.389, I = 26, hkl 1 3 1; d 1.829, I = 20, hkl 2 0 -3; d 2.342, I = 19, hkl 2 0 -1; d 2.627, I = 18, hkl 0 4 1

Cell and atoms:
Cell: 4.6842 11.7228 6.3206 Å, 90.00 111.36 90.00°
Space group C2/m (No. 12)
Inequivalent atoms, fractional coordinates:
Tb (0.0000, 0.0000, 0.0000) [2 per cell]
Mn (0.0000, 0.5000, 0.5000) [2 per cell]
Mn (0.1125, 0.3863, 0.2281) [8 per cell]
Mn (0.1804, 0.1809, 0.3603) [8 per cell]
Fe (0.0000, 0.0000, 0.5000) [2 per cell]
Fe (0.2500, 0.2500, 0.0000) [4 per cell]

---

Starting from a GGA-PBE-relaxed structure, the powder XRD pattern of NaIn2TeO6 was calculated for λ = 1.5418 Å (Cu Kα).
Kinematic intensities with the Lorentz-polarization factor, no thermal factor.

Peak list (10 most intense, 5° ≤ 2θ ≤ 70°, in order of falling intensity)
d 2.819, I = 100, hkl 1 1 0; d 2.970, I = 94, hkl 1 0 4; d 1.868, I = 56, hkl 2 -1 6; d 4.089, I = 52, hkl 0 1 2; d 2.045, I = 39, hkl 0 2 4; d 1.655, I = 38, hkl 3 -1 4; d 4.642, I = 33, hkl 1 0 1; d 1.628, I = 33, hkl 3 0 0; d 1.432, I = 24, hkl 1 0 10; d 2.454, I = 22, hkl 2 -1 3

Cell and atoms:
Cell: 5.6384 5.6384 14.9662 Å, 90.00 90.00 120.00°
Space group R3 (No. 146, hexagonal axes)
Inequivalent atoms, fractional coordinates:
Na (0.0000, 0.0000, 0.0000) [3 per cell]
In (0.0000, 0.0000, 0.2706) [3 per cell]
In (0.0000, 0.0000, 0.7828) [3 per cell]
Te (0.0000, 0.0000, 0.4768) [3 per cell]
O (0.0186, 0.3445, 0.5413) [9 per cell]
O (0.0307, 0.7444, 0.3877) [9 per cell]

---

Starting from a GGA-PBE-relaxed structure, the powder XRD pattern of ScPbO was calculated for λ = 1.5418 Å (Cu Kα).
Kinematic intensities with the Lorentz-polarization factor, no thermal factor.

Peak list (10 most intense, 5° ≤ 2θ ≤ 70°, in order of falling intensity)
d 2.946, I = 100, hkl 0 1 1; d 2.342, I = 84, hkl 1 0 3; d 10.913, I = 76, hkl 0 0 1; d 3.060, I = 68, hkl 1 0 0; d 2.036, I = 41, hkl 1 0 4; d 2.728, I = 33, hkl 0 0 4; d 1.767, I = 33, hkl 1 1 0; d 1.483, I = 30, hkl 1 1 4; d 3.638, I = 26, hkl 0 0 3; d 1.389, I = 20, hkl 1 0 7

Cell and atoms:
Cell: 3.5335 3.5335 10.9133 Å, 90.00 90.00 120.00°
Space group P-3m1 (No. 164)
Inequivalent atoms, fractional coordinates:
Sc (0.3333, 0.6667, 0.3777) [2 per cell]
Pb (0.0000, 0.0000, 0.1402) [2 per cell]
O (0.3333, 0.6667, 0.5803) [2 per cell]

---

Starting from a GGA-PBE-relaxed structure, the powder XRD pattern of RbSi3Au3 was calculated for λ = 1.5418 Å (Cu Kα).
Kinematic intensities with the Lorentz-polarization factor, no thermal factor.

Peak list (10 most intense, 5° ≤ 2θ ≤ 70°, in order of falling intensity)
d 3.129, I = 100, hkl 2 1 0; d 2.857, I = 69, hkl 2 1 1; d 1.870, I = 40, hkl 3 2 1; d 2.020, I = 31, hkl 2 2 2; d 3.499, I = 29, hkl 2 0 0; d 1.941, I = 27, hkl 3 2 0; d 4.948, I = 26, hkl 1 1 0; d 1.527, I = 25, hkl 4 2 1; d 1.749, I = 24, hkl 4 0 0; d 1.565, I = 11, hkl 4 2 0

Cell and atoms:
Cell: 6.9972 6.9972 6.9972 Å, 90.00 90.00 90.00°
Space group Pm-3n (No. 223)
Inequivalent atoms, fractional coordinates:
Rb (0.0000, 0.0000, 0.0000) [2 per cell]
Si (0.0000, 0.2500, 0.5000) [6 per cell]
Au (0.0000, 0.5000, 0.2500) [6 per cell]

---

Starting from a GGA-PBE-relaxed structure, the powder XRD pattern of Pd5I was calculated for λ = 1.5418 Å (Cu Kα).
Kinematic intensities with the Lorentz-polarization factor, no thermal factor.

Peak list (7 most intense, 5° ≤ 2θ ≤ 70°, in order of falling intensity)
d 2.353, I = 100, hkl 1 3 1; d 2.040, I = 33, hkl 2 0 0; d 1.440, I = 20, hkl 2 6 0; d 2.033, I = 16, hkl 0 6 0; d 1.443, I = 10, hkl 2 0 2; d 1.492, I = 1, hkl 1 7 1; d 3.049, I = 1, hkl 0 4 0

Cell and atoms:
Cell: 4.0815 12.1969 4.0803 Å, 90.00 90.00 90.00°
Space group Cmmm (No. 65)
Inequivalent atoms, fractional coordinates:
Pd (0.0000, 0.0000, 0.0000) [2 per cell]
Pd (0.0000, 0.1728, 0.5000) [4 per cell]
Pd (0.0000, 0.3290, 0.0000) [4 per cell]
I (0.0000, 0.5000, 0.5000) [2 per cell]